Al2AsPd8: computed XRD peak list (copper Kα), based on the GGA-PBE geometry in Alexandria.
No peak broadening, texture or thermal motion is included.

Crystal structure
```
Al2AsPd8
1.0
-2.072 3.573 5.733
2.072 -3.573 5.733
2.072 3.573 -5.733
Al As Pd
2 1 8
direct
0.193 0.193 0.000
0.807 0.807 0.000
0.500 0.500 0.000
0.064 0.340 0.723
0.184 0.000 0.184
0.359 0.859 0.500
0.383 0.660 0.723
0.617 0.340 0.277
0.641 0.141 0.500
0.816 0.000 0.816
0.936 0.660 0.277
```

Largest 10 diffraction maxima, sorted by position, 2θ from 10° to 90°:
3.040 Å, 2θ = 29.4°, rel. 13; 2.809 Å, 2θ = 31.9°, rel. 14; 2.332 Å, 2θ = 38.6°, rel. 21; 2.239 Å, 2θ = 40.3°, rel. 24; 2.209 Å, 2θ = 40.9°, rel. 100; 2.072 Å, 2θ = 43.7°, rel. 27; 1.911 Å, 2θ = 47.6°, rel. 16; 1.549 Å, 2θ = 59.7°, rel. 11; 1.405 Å, 2θ = 66.6°, rel. 11; 1.221 Å, 2θ = 78.3°, rel. 14